[1]
Diffraction record for NaErAu. The powder XRD pattern is computed, not measured: it uses a cell relaxed with GGA-PBE and Cu Kα X-rays.

Atomic structure:
Unit cell a=4.8543 b=4.8543 c=7.6009 alpha=90.00 beta=90.00 gamma=90.00
Atoms (fractional coordinates):
Na (0.2500, 0.2500, 0.1139)
Na (0.7500, 0.7500, 0.8861)
Er (0.2500, 0.7500, 0.5000)
Er (0.7500, 0.2500, 0.5000)
Au (0.2500, 0.2500, 0.7061)
Au (0.7500, 0.7500, 0.2939)

Top 10 peaks for 10° ≤ 2θ ≤ 80°, in order of falling intensity:
| d_spacing | 2θ/deg | Rel. int. |
| --- | --- | --- |
| 7.601 | 11.64 | 1000 |
| 2.547 | 35.23 | 807 |
| 4.091 | 21.72 | 741 |
| 2.427 | 37.04 | 486 |
| 2.038 | 44.44 | 346 |
| 1.423 | 65.59 | 270 |
| 2.087 | 43.35 | 257 |
| 2.312 | 38.95 | 226 |
| 3.128 | 28.53 | 217 |
| 2.992 | 29.86 | 187 |

[2]
Diffraction record for YAs2Au. The powder XRD pattern is computed, not measured: it uses a cell relaxed with GGA-PBE and Cu Kα X-rays.

Atomic structure:
Unit cell a=4.0527 b=4.0527 c=10.0743 alpha=90.00 beta=90.00 gamma=90.00
Atoms (fractional coordinates):
Y (0.2500, 0.2500, 0.2304)
Y (0.7500, 0.7500, 0.7696)
As (0.2500, 0.2500, 0.6942)
As (0.2500, 0.7500, 0.0000)
As (0.7500, 0.2500, 0.0000)
As (0.7500, 0.7500, 0.3058)
Au (0.2500, 0.7500, 0.5000)
Au (0.7500, 0.2500, 0.5000)

Top 10 peaks for 10° ≤ 2θ ≤ 80°, in order of falling intensity:
| d_spacing | 2θ/deg | Rel. int. |
| --- | --- | --- |
| 2.491 | 36.06 | 1000 |
| 2.026 | 44.72 | 300 |
| 1.242 | 76.73 | 222 |
| 2.519 | 35.65 | 196 |
| 1.579 | 58.46 | 187 |
| 5.037 | 17.61 | 124 |
| 1.433 | 65.10 | 97 |
| 1.449 | 64.30 | 96 |
| 2.180 | 41.42 | 94 |
| 1.245 | 76.49 | 85 |

[3]
Diffraction record for Ca4GeAu2. The powder XRD pattern is computed, not measured: it uses a cell relaxed with GGA-PBE and Cu Kα X-rays.

Atomic structure:
Unit cell a=8.9431 b=8.9431 c=8.9431 alpha=33.24 beta=33.24 gamma=33.24
Atoms (fractional coordinates):
Ca (0.1241, 0.1241, 0.1241)
Ca (0.3744, 0.3744, 0.3744)
Ca (0.6256, 0.6256, 0.6256)
Ca (0.8759, 0.8759, 0.8759)
Ge (0.0000, 0.0000, 0.0000)
Au (0.2461, 0.2461, 0.2461)
Au (0.7539, 0.7539, 0.7539)

Top 10 peaks for 10° ≤ 2θ ≤ 80°, in order of falling intensity:
| d_spacing | 2θ/deg | Rel. int. |
| --- | --- | --- |
| 2.558 | 35.08 | 1000 |
| 2.576 | 34.83 | 995 |
| 4.182 | 21.25 | 850 |
| 3.630 | 24.52 | 520 |
| 1.480 | 62.78 | 349 |
| 1.815 | 50.27 | 345 |
| 2.187 | 41.27 | 317 |
| 4.221 | 21.05 | 285 |
| 1.477 | 62.94 | 178 |
| 1.490 | 62.29 | 165 |